Calculated powder diffraction line list
Compound: Ho2Tm3Hg2
Radiation: Cu Kα
Structure: DFT lattice parameters and positions (GGA-PBE)

Top 6 peaks for 10 to 90 degrees two-theta, low angle first:
d_spacing, I_rel
2.710, 95
2.645, 100
1.893, 34
1.539, 35
1.527, 19
1.189, 15

Atomic structure:
```
data_Ho2Tm3Hg2
_chemical_formula_sum 'Ho6 Tm9 Hg6'
_cell_length_a 5.2906
_cell_length_b 5.2906
_cell_length_c 23.5288
_cell_angle_alpha 90.00
_cell_angle_beta 90.00
_cell_angle_gamma 120.00
_space_group_name_H-M_alt 'R -3 m'
_space_group_IT_number 166
_space_group_name_Hall '-R 3 2"'
loop_
_atom_site_label
_atom_site_type_symbol
_atom_site_fract_x
_atom_site_fract_y
_atom_site_fract_z
Ho1 Ho 0.0000 0.0000 0.0751
Tm1 Tm 0.0000 0.0000 0.3427
Tm2 Tm 0.0000 0.0000 0.5000
Hg1 Hg 0.0000 0.0000 0.2138
```

***

Calculated powder diffraction line list
Compound: Ho3TmHg7
Radiation: Cu Kα
Structure: DFT lattice parameters and positions (GGA-PBE)

Top 6 peaks for 10 to 90 degrees two-theta, low angle first:
d_spacing, I_rel
6.627, 23
2.711, 78
2.500, 100
2.453, 34
2.437, 37
2.349, 25

Atomic structure:
```
data_Ho3TmHg7
_chemical_formula_sum 'Ho12 Tm4 Hg28'
_cell_length_a 3.6022
_cell_length_b 31.3037
_cell_length_c 12.4582
_cell_angle_alpha 90.00
_cell_angle_beta 90.00
_cell_angle_gamma 90.00
_space_group_name_H-M_alt 'C m c m'
_space_group_IT_number 63
_space_group_name_Hall '-C 2c 2'
loop_
_atom_site_label
_atom_site_type_symbol
_atom_site_fract_x
_atom_site_fract_y
_atom_site_fract_z
Ho1 Ho 0.0000 0.0675 0.0478
Ho2 Ho 0.0000 0.1872 0.7500
Tm1 Tm 0.0000 0.0721 0.7500
Hg1 Hg 0.0000 0.2706 0.0780
Hg2 Hg 0.0000 0.3727 0.0982
Hg3 Hg 0.0000 0.4183 0.7500
Hg4 Hg 0.0000 0.4883 0.1192
```

***

Calculated powder diffraction line list
Compound: Y3Ho4Hg4
Radiation: Cu Kα
Structure: DFT lattice parameters and positions (GGA-PBE)

Top 6 peaks for 10 to 90 degrees two-theta, low angle first:
d_spacing, I_rel
6.308, 52
3.154, 41
2.821, 100
2.384, 32
2.103, 74
1.902, 24

Atomic structure:
```
data_Y3Ho4Hg4
_chemical_formula_sum 'Y6 Ho8 Hg8'
_cell_length_a 8.9205
_cell_length_b 8.9205
_cell_length_c 8.9205
_cell_angle_alpha 90.00
_cell_angle_beta 90.00
_cell_angle_gamma 90.00
_space_group_name_H-M_alt 'I -4 3 m'
_space_group_IT_number 217
_space_group_name_Hall 'I -4 2 3'
loop_
_atom_site_label
_atom_site_type_symbol
_atom_site_fract_x
_atom_site_fract_y
_atom_site_fract_z
Y1 Y 0.0000 0.0000 0.5000
Ho1 Ho 0.1428 0.1428 0.1428
Hg1 Hg 0.1788 0.1788 0.8212
```